Computed PXRD pattern of SbPb2Cl8 for CuKα, from the GGA-PBE geometry in Alexandria.

Crystal structure
```
SbPb2Cl8
1.0
10.7418 -2.0620 0.0000
10.7418 2.0620 0.0000
-0.6708 0.0000 8.0807
Sb Pb Cl
1 2 8
direct
0.0000 0.0000 0.0000 Sb
0.3350 0.3350 0.6079 Pb
0.6650 0.6650 0.3921 Pb
0.0969 0.0969 0.5246 Cl
0.1160 0.1160 0.0541 Cl
0.2605 0.2605 0.3142 Cl
0.4919 0.4919 0.2049 Cl
0.5081 0.5081 0.7951 Cl
0.7395 0.7395 0.6858 Cl
0.8840 0.8840 0.9459 Cl
0.9031 0.9031 0.4754 Cl
```

Peak list (6 most intense, 2θ from 5° to 70°, sorted by position)
2θ (°)	d [Å]	I (rel.)
13.17	6.722	100
20.65	4.302	30
24.75	3.598	26
24.94	3.570	43
31.02	2.883	32
31.49	2.841	30